Record 1
For Na10Sn12W, the GGA-PBE geometry in OQMD gives the calculated powder diffractogram in this record (copper Kα).
Kinematic intensities with the Lorentz-polarization factor, no thermal factor.

The 12 most intense peaks (2θ from 10° to 90°), in order of falling intensity:
2θ/deg	d (Å)	I (rel.)
11.30	7.834	100
38.10	2.362	82
19.63	4.523	75
34.34	2.611	70
30.18	2.961	62
44.81	2.023	35
58.95	1.567	34
61.51	1.508	33
36.26	2.477	31
41.57	2.173	29
78.12	1.223	21
66.45	1.407	20

Structural model:
abc: 11.079 11.079 11.079
angles: 90.00 90.00 90.00
Space group I-43m (No. 217)
Unique sites:
Na (0.000, 0.250, 0.500)
Na (0.191, 0.191, 0.809)
Sn (0.090, 0.090, 0.277)
W (0.000, 0.000, 0.000)

=====

Record 2
For Na10ZnSn12, the GGA-PBE geometry in OQMD gives the calculated powder diffractogram in this record (copper Kα).
Kinematic intensities with the Lorentz-polarization factor, no thermal factor.

The 12 most intense peaks (2θ from 10° to 90°), in order of falling intensity:
2θ/deg	d (Å)	I (rel.)
19.39	4.577	100
37.63	2.390	82
33.93	2.642	59
41.05	2.199	46
11.16	7.927	44
29.82	2.996	40
58.19	1.585	30
60.71	1.526	25
27.56	3.236	25
44.25	2.047	24
77.03	1.238	22
35.82	2.507	20

Structural model:
abc: 11.211 11.211 11.211
angles: 90.00 90.00 90.00
Space group I-43m (No. 217)
Unique sites:
Na (0.000, 0.250, 0.500)
Na (0.189, 0.189, 0.811)
Zn (0.000, 0.000, 0.000)
Sn (0.091, 0.091, 0.280)

=====

Record 3
For NaSrTbTe3, the GGA-PBE geometry in OQMD gives the calculated powder diffractogram in this record (copper Kα).
Kinematic intensities with the Lorentz-polarization factor, no thermal factor.

The 12 most intense peaks (2θ from 10° to 90°), in order of falling intensity:
2θ/deg	d (Å)	I (rel.)
27.18	3.281	100
28.80	3.100	84
40.00	2.254	52
37.03	2.428	29
40.54	2.225	28
50.47	1.808	23
47.56	1.912	22
33.42	2.681	22
43.71	2.071	20
64.23	1.450	18
56.06	1.640	18
18.89	4.698	17

Structural model:
abc: 19.238 4.451 9.710
angles: 90.00 104.63 90.00
Space group C2/m (No. 12)
Unique sites:
Na (0.007, 0.000, 0.205)
Sr (0.135, 0.500, 0.567)
Tb (0.166, 0.500, 0.087)
Te (0.000, 0.000, 0.500)
Te (0.000, 0.500, 0.000)
Te (0.168, 0.000, 0.860)
Te (0.181, 0.000, 0.319)

=====

Record 4
For NaTb2, the GGA-PBE geometry in OQMD gives the calculated powder diffractogram in this record (copper Kα).
Kinematic intensities with the Lorentz-polarization factor, no thermal factor.

The 12 most intense peaks (2θ from 10° to 90°), in order of falling intensity:
2θ/deg	d (Å)	I (rel.)
33.69	2.660	100
23.65	3.762	90
54.54	1.683	38
60.25	1.536	37
41.58	2.172	27
48.39	1.881	18
75.86	1.254	18
80.78	1.190	16
70.84	1.330	11
85.62	1.134	11
20.44	4.344	1
39.73	2.269	1

Structural model:
abc: 7.525 7.525 7.525
angles: 90.00 90.00 90.00
Space group Fm-3m (No. 225)
Unique sites:
Na (0.000, 0.000, 0.000)
Tb (0.250, 0.250, 0.250)

=====

Record 5
For Na2Tc, the GGA-PBE geometry in OQMD gives the calculated powder diffractogram in this record (copper Kα).
Kinematic intensities with the Lorentz-polarization factor, no thermal factor.

The 12 most intense peaks (2θ from 10° to 90°), in order of falling intensity:
2θ/deg	d (Å)	I (rel.)
39.83	2.263	100
33.78	2.654	88
20.49	4.334	45
60.42	1.532	32
64.51	1.445	30
71.04	1.327	20
81.02	1.187	13
53.19	1.722	10
84.67	1.145	10
74.83	1.269	8
41.68	2.167	8
48.51	1.877	4

Structural model:
abc: 7.506 7.506 7.506
angles: 90.00 90.00 90.00
Space group Fd-3m (No. 227, origin choice 2)
Unique sites:
Na (0.000, 0.000, 0.000)
Tc (0.125, 0.125, 0.625)

=====

Record 6
For NaTh2Te6, the GGA-PBE geometry in OQMD gives the calculated powder diffractogram in this record (copper Kα).
Kinematic intensities with the Lorentz-polarization factor, no thermal factor.

The 12 most intense peaks (2θ from 10° to 90°), in order of falling intensity:
2θ/deg	d (Å)	I (rel.)
28.17	3.167	100
37.52	2.397	65
35.74	2.512	47
30.00	2.979	35
34.40	2.607	34
18.52	4.790	32
23.35	3.810	27
40.97	2.203	26
29.43	3.035	22
51.60	1.771	20
38.43	2.342	19
67.53	1.387	19

Structural model:
abc: 4.406 6.173 22.783
angles: 90.00 90.00 90.00
Space group Immm (No. 71)
Unique sites:
Na (0.000, 0.000, 0.000)
Th (0.000, 0.500, 0.175)
Te (0.000, 0.000, 0.224)
Te (0.000, 0.248, 0.404)

=====

Record 7
For NaTe5W3, the GGA-PBE geometry in OQMD gives the calculated powder diffractogram in this record (copper Kα).
Kinematic intensities with the Lorentz-polarization factor, no thermal factor.

The 12 most intense peaks (2θ from 10° to 90°), in order of falling intensity:
2θ/deg	d (Å)	I (rel.)
10.67	8.292	100
41.69	2.166	58
37.00	2.429	44
37.55	2.395	24
17.45	5.082	23
78.81	1.214	17
30.47	2.934	17
32.39	2.764	17
48.67	1.871	14
63.40	1.467	13
80.15	1.198	13
43.66	2.073	13

Structural model:
abc: 5.8681 5.8681 8.2924
angles: 90.00 90.00 120.00
Space group P6/mmm (No. 191)
Unique sites:
Na (0.0000, 0.0000, 0.0000)
Te (0.0000, 0.0000, 0.5000)
Te (0.3333, 0.6667, 0.2327)
W (0.0000, 0.5000, 0.5000)

=====

Record 8
For Na4Tl3Zn, the GGA-PBE geometry in OQMD gives the calculated powder diffractogram in this record (copper Kα).
Kinematic intensities with the Lorentz-polarization factor, no thermal factor.

The 12 most intense peaks (2θ from 10° to 90°), in order of falling intensity:
2θ/deg	d (Å)	I (rel.)
34.06	2.632	100
20.66	4.298	67
40.21	2.243	25
61.01	1.519	25
53.66	1.708	16
49.01	1.859	12
40.09	2.249	12
60.88	1.522	12
81.94	1.176	11
65.16	1.432	9
75.63	1.257	8
71.66	1.317	7

Structural model:
abc: 5.257 5.257 7.465
angles: 90.00 90.00 90.00
Space group P-4m2 (No. 115)
Unique sites:
Na (0.000, 0.000, 0.000)
Na (0.000, 0.500, 0.743)
Na (0.500, 0.500, 0.500)
Tl (0.000, 0.500, 0.265)
Tl (0.500, 0.500, 0.000)
Zn (0.000, 0.000, 0.500)

=====

Record 9
For NaZn, the GGA-PBE geometry in OQMD gives the calculated powder diffractogram in this record (copper Kα).
Kinematic intensities with the Lorentz-polarization factor, no thermal factor.

The 12 most intense peaks (2θ from 10° to 90°), in order of falling intensity:
2θ/deg	d (Å)	I (rel.)
37.33	2.409	100
36.70	2.449	36
41.97	2.153	32
38.28	2.351	21
57.05	1.614	18
66.50	1.406	16
69.72	1.349	16
22.78	3.903	15
32.36	2.767	15
19.93	4.455	12
33.43	2.680	12
70.75	1.332	11

Structural model:
abc: 4.898 6.461 10.722
angles: 90.00 90.00 90.00
Space group Pmmn (No. 59, origin choice 2)
Unique sites:
Na (0.250, 0.002, 0.096)
Na (0.250, 0.250, 0.359)
Na (0.250, 0.250, 0.805)
Zn (0.250, 0.502, 0.588)
Zn (0.250, 0.750, 0.391)
Zn (0.250, 0.750, 0.804)

=====

Record 10
For NaZn, the GGA-PBE geometry in OQMD gives the calculated powder diffractogram in this record (copper Kα).
Kinematic intensities with the Lorentz-polarization factor, no thermal factor.

The 12 most intense peaks (2θ from 10° to 90°), in order of falling intensity:
2θ/deg	d (Å)	I (rel.)
37.83	2.378	100
11.28	7.842	84
37.39	2.405	75
37.10	2.423	47
16.97	5.224	39
32.81	2.730	39
50.36	1.812	23
39.18	2.299	18
47.63	1.909	17
67.36	1.390	16
67.07	1.395	12
70.78	1.331	10

Structural model:
abc: 5.540 4.846 8.312
angles: 90.00 109.36 90.00
Space group Pm (No. 6)
Unique sites:
Na (0.000, 0.000, 0.000)
Na (0.030, 0.500, 0.760)
Na (0.140, 0.000, 0.386)
Na (0.386, 0.000, 0.773)
Na (0.656, 0.500, 0.012)
Zn (0.292, 0.500, 0.211)
Zn (0.468, 0.500, 0.561)
Zn (0.560, 0.000, 0.214)
Zn (0.732, 0.000, 0.559)
Zn (0.818, 0.500, 0.386)